Theoretical PXRD pattern of Th2Zn12Pd5 for Cu Ka, from DFT lattice parameters and positions (GGA-PBE).
No peak broadening, texture or thermal motion is included.

Structure:
abc: 6.882 6.882 6.882
angles: 83.83 83.83 83.83
Sites, in units of the cell vectors:
Th 0.173 0.173 0.173
Th 0.827 0.827 0.827
Zn 0.150 0.150 0.660
Zn 0.150 0.660 0.150
Zn 0.212 0.500 0.788
Zn 0.212 0.788 0.500
Zn 0.340 0.850 0.850
Zn 0.500 0.212 0.788
Zn 0.500 0.788 0.212
Zn 0.660 0.150 0.150
Zn 0.788 0.212 0.500
Zn 0.788 0.500 0.212
Zn 0.850 0.340 0.850
Zn 0.850 0.850 0.340
Pd 0.000 0.500 0.500
Pd 0.393 0.393 0.393
Pd 0.500 0.000 0.500
Pd 0.500 0.500 0.000
Pd 0.607 0.607 0.607

Principal peaks in the range 2θ = 10–80°, by angle:
- 3.171 Å, intensity 46
- 2.736 Å, intensity 24
- 2.654 Å, intensity 50
- 2.299 Å, intensity 93
- 2.270 Å, intensity 100
- 2.219 Å, intensity 20
- 2.192 Å, intensity 78
- 2.035 Å, intensity 25
- 1.615 Å, intensity 21
- 1.586 Å, intensity 30
- 1.327 Å, intensity 23
- 1.279 Å, intensity 24

---

Theoretical PXRD pattern of Rb7Te6As for Cu Ka, from DFT lattice parameters and positions (GGA-PBE).
No peak broadening, texture or thermal motion is included.

Structure:
abc: 13.450 13.450 13.450
angles: 140.08 100.75 92.67
Sites, in units of the cell vectors:
Rb 0.019 0.227 0.246
Rb 0.088 0.537 0.872
Rb 0.165 0.037 0.449
Rb 0.250 0.250 0.000
Rb 0.335 0.784 0.872
Rb 0.412 0.284 0.449
Rb 0.481 0.727 0.209
Rb 0.519 0.273 0.791
Rb 0.588 0.716 0.551
Rb 0.665 0.216 0.128
Rb 0.750 0.750 0.000
Rb 0.835 0.963 0.551
Rb 0.912 0.463 0.128
Rb 0.981 0.773 0.754
Te 0.083 0.843 0.578
Te 0.166 0.955 0.121
Te 0.235 0.657 0.240
Te 0.265 0.505 0.422
Te 0.334 0.455 0.790
Te 0.417 0.995 0.760
Te 0.583 0.005 0.240
Te 0.666 0.545 0.210
Te 0.735 0.495 0.578
Te 0.765 0.343 0.760
Te 0.834 0.045 0.879
Te 0.917 0.157 0.422
As 0.250 0.750 0.500
As 0.750 0.250 0.500

Principal peaks in the range 2θ = 10–80°, by angle:
- 6.301 Å, intensity 35
- 6.103 Å, intensity 70
- 4.405 Å, intensity 52
- 4.084 Å, intensity 44
- 3.804 Å, intensity 77
- 3.711 Å, intensity 45
- 3.516 Å, intensity 35
- 3.098 Å, intensity 100
- 2.970 Å, intensity 52
- 2.848 Å, intensity 49
- 2.459 Å, intensity 33
- 1.628 Å, intensity 47

---

Theoretical PXRD pattern of TlZnIn for Cu Ka, from DFT lattice parameters and positions (GGA-PBE).
No peak broadening, texture or thermal motion is included.

Structure:
abc: 6.662 6.552 3.516
angles: 76.30 72.85 30.85
Sites, in units of the cell vectors:
Tl 0.000 0.000 0.000
Zn 0.336 0.336 0.664
In 0.699 0.699 0.301

Principal peaks in the range 2θ = 10–80°, by angle:
- 3.358 Å, intensity 24
- 3.061 Å, intensity 10
- 2.653 Å, intensity 100
- 2.628 Å, intensity 26
- 2.336 Å, intensity 19
- 2.041 Å, intensity 9
- 1.746 Å, intensity 15
- 1.612 Å, intensity 9
- 1.564 Å, intensity 9
- 1.522 Å, intensity 18
- 1.402 Å, intensity 14
- 1.327 Å, intensity 9

---

Theoretical PXRD pattern of SmDy3Tm3 for Cu Ka, from DFT lattice parameters and positions (GGA-PBE).
No peak broadening, texture or thermal motion is included.

Structure:
abc: 12.788 12.788 6.498
angles: 99.75 99.75 117.19
Sites, in units of the cell vectors:
Sm 0.000 0.000 0.000
Sm 0.000 0.167 0.594
Sm 0.167 0.000 0.594
Sm 0.833 0.833 0.428
Dy 0.000 0.279 0.141
Dy 0.000 0.455 0.760
Dy 0.266 0.733 0.237
Dy 0.267 0.533 0.504
Dy 0.279 0.000 0.141
Dy 0.455 0.000 0.760
Dy 0.467 0.734 0.971
Dy 0.533 0.267 0.504
Dy 0.545 0.545 0.305
Dy 0.721 0.721 0.862
Dy 0.733 0.266 0.237
Dy 0.734 0.467 0.971
Tm 0.000 0.532 0.285
Tm 0.000 0.747 0.075
Tm 0.181 0.749 0.721
Tm 0.251 0.432 0.972
Tm 0.253 0.253 0.328
Tm 0.432 0.251 0.972
Tm 0.467 0.467 0.752
Tm 0.532 0.000 0.285
Tm 0.568 0.819 0.540
Tm 0.747 0.000 0.075
Tm 0.749 0.181 0.721
Tm 0.819 0.568 0.540

Principal peaks in the range 2θ = 10–80°, by angle:
- 3.027 Å, intensity 17
- 3.010 Å, intensity 39
- 2.958 Å, intensity 38
- 2.804 Å, intensity 100
- 2.729 Å, intensity 76
- 2.678 Å, intensity 73
- 2.600 Å, intensity 15
- 2.494 Å, intensity 21
- 1.662 Å, intensity 21
- 1.638 Å, intensity 14
- 1.590 Å, intensity 12
- 1.454 Å, intensity 22

---

Theoretical PXRD pattern of Nd7Y4Er for Cu Ka, from DFT lattice parameters and positions (GGA-PBE).
No peak broadening, texture or thermal motion is included.

Structure:
abc: 6.783 6.783 12.812
angles: 114.39 114.39 53.14
Sites, in units of the cell vectors:
Nd 0.000 0.000 0.000
Nd 0.211 0.211 0.922
Nd 0.248 0.248 0.684
Nd 0.369 0.369 0.500
Nd 0.631 0.631 0.500
Nd 0.752 0.752 0.316
Nd 0.789 0.789 0.078
Y 0.061 0.061 0.322
Y 0.368 0.368 0.224
Y 0.632 0.632 0.776
Y 0.939 0.939 0.678
Er 0.500 0.500 0.000

Principal peaks in the range 2θ = 10–80°, by angle:
- 4.424 Å, intensity 25
- 3.034 Å, intensity 100
- 2.940 Å, intensity 33
- 2.921 Å, intensity 49
- 2.794 Å, intensity 36
- 2.779 Å, intensity 59
- 2.719 Å, intensity 67
- 2.691 Å, intensity 58
- 2.111 Å, intensity 25
- 2.104 Å, intensity 39
- 1.684 Å, intensity 22
- 1.517 Å, intensity 19